Structure and simulated X-ray powder pattern of NaHf2VF11 (a DFT-relaxed cell (PBE+U, Alexandria); Cu Kα X-rays).
No peak broadening, texture or thermal motion is included.

Structural model:
a b c (Å): 9.2392 6.8542 7.8135
angles (deg): 90.00 115.87 90.00
Space group C2/m (No. 12)
One atom of each set of equivalent atoms:
1 Na 0.0000 0.0000 0.0000 x2
2 Hf 0.0036 0.5000 0.2342 x4
3 V 0.0000 0.0000 0.5000 x2
4 F 0.0000 0.3323 0.0000 x4
5 F 0.0000 0.5000 0.5000 x2
6 F 0.0126 0.2108 0.3066 x8
7 F 0.2316 0.5000 0.8884 x4
8 F 0.2460 0.5000 0.3515 x4

Largest 10 diffraction maxima, sorted by position, 10° ≤ 2θ ≤ 80°:
hkl	d (Å)	2theta	Rel. int.
1 1 0	5.288	16.76	100.0
2 0 0	4.157	21.38	76.8
2 0 -2	3.556	25.04	16.8
0 2 0	3.427	26.00	37.6
1 1 -2	3.394	26.26	74.9
3 1 -2	2.645	33.89	31.2
4 0 0	2.078	43.55	19.3
1 3 -2	1.972	46.02	25.3
4 2 0	1.777	51.42	26.5
3 1 2	1.762	51.88	17.0